For CaHf2Bi2, a cell relaxed with GGA-PBE gives the theoretical powder diffraction line list in this record (copper Kα).

Peak list (8 most intense, 2θ from 10° to 90°, by angle)
index  2θ/deg  I/Imax
0 0 2  11.81  43
1 0 1  21.27  67
1 0 3  27.18  28
1 1 2  31.44  77
1 0 5  36.39  45
1 1 4  37.84  100
2 0 0  41.52  53
3 1 4  73.31  30

Cell and atoms:
```
data_CaHf2Bi2
_cell_length_a 4.350
_cell_length_b 4.350
_cell_length_c 14.992
_cell_angle_alpha 90.00
_cell_angle_beta 90.00
_cell_angle_gamma 90.00
_symmetry_space_group_name_H-M 'I 4/m m m'
_symmetry_Int_Tables_number 139
_symmetry_space_group_name_Hall '-I 4 2'
loop_
_atom_site_label
_atom_site_fract_x
_atom_site_fract_y
_atom_site_fract_z
Ca1 0.000 0.000 0.000
Hf1 0.000 0.500 0.250
Bi1 0.000 0.000 0.391
```



For Ca2Hg8Bi, a cell relaxed with GGA-PBE gives the theoretical powder diffraction line list in this record (copper Kα).

Peak list (8 most intense, 2θ from 10° to 90°, by angle)
index  2θ/deg  I/Imax
1 0 1  19.65  13
1 1 3  33.45  100
2 0 0  37.33  38
0 0 6  41.65  13
2 2 0  53.83  14
2 0 6  57.16  20
3 1 3  64.87  30
2 2 6  70.28  11

Cell and atoms:
```
data_Ca2Hg8Bi
_cell_length_a 4.817
_cell_length_b 4.817
_cell_length_c 13.011
_cell_angle_alpha 90.00
_cell_angle_beta 90.00
_cell_angle_gamma 90.00
_symmetry_space_group_name_H-M 'P 4/m m m'
_symmetry_Int_Tables_number 123
_symmetry_space_group_name_Hall '-P 4 2'
loop_
_atom_site_label
_atom_site_fract_x
_atom_site_fract_y
_atom_site_fract_z
Ca1 0.000 0.000 0.179
Hg1 0.000 0.500 0.000
Hg2 0.000 0.500 0.344
Hg3 0.500 0.500 0.175
Bi1 0.000 0.000 0.500
```



For Ca3HgBi2, a cell relaxed with GGA-PBE gives the theoretical powder diffraction line list in this record (copper Kα).

Peak list (8 most intense, 2θ from 10° to 90°, by angle)
index  2θ/deg  I/Imax
0 1 2  22.56  100
1 0 4  31.18  99
1 1 0  33.04  96
2 0 2  40.38  24
0 2 4  46.07  34
1 2 2  53.13  22
2 1 4  57.85  34
3 0 0  59.01  18

Cell and atoms:
```
data_Ca3HgBi2
_cell_length_a 5.4222
_cell_length_b 5.4222
_cell_length_c 14.4908
_cell_angle_alpha 90.00
_cell_angle_beta 90.00
_cell_angle_gamma 120.00
_symmetry_space_group_name_H-M 'P -3 m 1'
_symmetry_Int_Tables_number 164
_symmetry_space_group_name_Hall '-P 3 2"'
loop_
_atom_site_label
_atom_site_fract_x
_atom_site_fract_y
_atom_site_fract_z
Ca1 0.0000 0.0000 0.2475
Ca2 0.3333 0.6667 0.4182
Ca3 0.3333 0.6667 0.9240
Hg1 0.3333 0.6667 0.1656
Bi1 0.0000 0.0000 0.0000
Bi2 0.0000 0.0000 0.5000
Bi3 0.3333 0.6667 0.6948
```



For Ca3Hg2Bi, a cell relaxed with GGA-PBE gives the theoretical powder diffraction line list in this record (copper Kα).

Peak list (8 most intense, 2θ from 10° to 90°, by angle)
index  2θ/deg  I/Imax
0 0 1  22.72  26
1 3 0  23.21  48
1 3 1  32.70  100
0 6 0  32.86  24
2 0 0  33.24  24
2 6 0  47.44  17
1 9 1  58.57  18
3 3 1  59.05  18

Cell and atoms:
```
data_Ca3Hg2Bi
_cell_length_a 5.391
_cell_length_b 16.351
_cell_length_c 3.914
_cell_angle_alpha 90.00
_cell_angle_beta 90.00
_cell_angle_gamma 90.00
_symmetry_space_group_name_H-M 'C m m m'
_symmetry_Int_Tables_number 65
_symmetry_space_group_name_Hall '-C 2 2'
loop_
_atom_site_label
_atom_site_fract_x
_atom_site_fract_y
_atom_site_fract_z
Ca1 0.000 0.000 0.000
Ca2 0.000 0.332 0.000
Hg1 0.000 0.172 0.500
Bi1 0.000 0.500 0.500
```



For CaHg4Bi2, a cell relaxed with GGA-PBE gives the theoretical powder diffraction line list in this record (copper Kα).

Peak list (8 most intense, 2θ from 10° to 90°, by angle)
index  2θ/deg  I/Imax
2 0 0  19.43  73
0 0 3  27.71  41
3 1 0  33.99  100
0 2 0  34.02  31
3 1 -3  44.22  24
0 2 3  44.43  24
3 1 3  44.57  24
6 0 0  60.85  25

Cell and atoms:
```
data_CaHg4Bi2
_cell_length_a 9.143
_cell_length_b 5.271
_cell_length_c 9.658
_cell_angle_alpha 90.00
_cell_angle_beta 90.50
_cell_angle_gamma 90.00
_symmetry_space_group_name_H-M 'C 1 2/m 1'
_symmetry_Int_Tables_number 12
_symmetry_space_group_name_Hall '-C 2y'
loop_
_atom_site_label
_atom_site_fract_x
_atom_site_fract_y
_atom_site_fract_z
Ca1 0.000 0.000 0.000
Hg1 0.166 0.500 0.848
Hg2 0.167 0.500 0.185
Bi1 0.167 0.500 0.516
```



For CaHg3Bi2, a cell relaxed with GGA-PBE gives the theoretical powder diffraction line list in this record (copper Kα).

Peak list (8 most intense, 2θ from 10° to 90°, by angle)
index  2θ/deg  I/Imax
0 2 1  23.04  8
2 0 0  30.42  26
0 0 2  33.17  100
2 0 2  45.61  18
3 3 1  55.83  18
1 3 3  59.25  21
0 0 4  69.62  10
3 3 3  76.34  8

Cell and atoms:
```
data_CaHg3Bi2
_cell_length_a 5.876
_cell_length_b 11.031
_cell_length_c 5.405
_cell_angle_alpha 90.00
_cell_angle_beta 90.00
_cell_angle_gamma 90.00
_symmetry_space_group_name_H-M 'C m m m'
_symmetry_Int_Tables_number 65
_symmetry_space_group_name_Hall '-C 2 2'
loop_
_atom_site_label
_atom_site_fract_x
_atom_site_fract_y
_atom_site_fract_z
Ca1 0.000 0.000 0.000
Hg1 0.000 0.158 0.500
Hg2 0.000 0.500 0.500
Bi1 0.000 0.312 0.000
```



For Ca3HgBi, a cell relaxed with GGA-PBE gives the theoretical powder diffraction line list in this record (copper Kα).

Peak list (8 most intense, 2θ from 10° to 90°, by angle)
index  2θ/deg  I/Imax
2 2 0  20.47  100
0 4 0  21.20  25
1 1 1  23.83  23
0 2 1  23.99  24
1 3 1  28.24  44
2 4 1  35.25  31
2 6 0  36.73  35
2 2 2  48.76  24

Cell and atoms:
```
data_Ca3HgBi
_cell_length_a 10.142
_cell_length_b 16.764
_cell_length_c 4.138
_cell_angle_alpha 90.00
_cell_angle_beta 90.00
_cell_angle_gamma 90.00
_symmetry_space_group_name_H-M 'C 2 2 2'
_symmetry_Int_Tables_number 21
_symmetry_space_group_name_Hall 'C 2 2'
loop_
_atom_site_label
_atom_site_fract_x
_atom_site_fract_y
_atom_site_fract_z
Ca1 0.000 0.147 0.000
Ca2 0.188 0.389 0.499
Hg1 0.250 0.250 0.999
Bi1 0.000 0.000 0.500
Bi2 0.000 0.500 0.000
```



For Ca2Hg9Bi, a cell relaxed with GGA-PBE gives the theoretical powder diffraction line list in this record (copper Kα).

Peak list (8 most intense, 2θ from 10° to 90°, by angle)
index  2θ/deg  I/Imax
1 1 3  32.93  100
0 0 6  37.86  17
2 0 0  38.39  33
2 0 6  55.02  23
2 2 0  55.41  12
1 1 9  65.27  14
3 1 3  65.98  28
2 2 6  69.07  12

Cell and atoms:
```
data_Ca2Hg9Bi
_cell_length_a 4.690
_cell_length_b 4.690
_cell_length_c 14.257
_cell_angle_alpha 90.00
_cell_angle_beta 90.00
_cell_angle_gamma 90.00
_symmetry_space_group_name_H-M 'P 4/m m m'
_symmetry_Int_Tables_number 123
_symmetry_space_group_name_Hall '-P 4 2'
loop_
_atom_site_label
_atom_site_fract_x
_atom_site_fract_y
_atom_site_fract_z
Ca1 0.000 0.000 0.170
Hg1 0.000 0.500 0.000
Hg2 0.000 0.500 0.328
Hg3 0.500 0.500 0.163
Hg4 0.500 0.500 0.500
Bi1 0.000 0.000 0.500
```



For Li2CaHg2Bi2, a cell relaxed with GGA-PBE gives the theoretical powder diffraction line list in this record (copper Kα).

Peak list (8 most intense, 2θ from 10° to 90°, by angle)
index  2θ/deg  I/Imax
0 0 6  19.84  44
1 0 1  21.48  70
1 0 4  25.07  97
1 0 7  31.64  68
1 1 0  37.20  100
1 0 10  39.89  41
1 1 6  42.51  40
0 1 11  42.89  49

Cell and atoms:
```
data_Li2CaHg2Bi2
_cell_length_a 4.8340
_cell_length_b 4.8340
_cell_length_c 26.8506
_cell_angle_alpha 90.00
_cell_angle_beta 90.00
_cell_angle_gamma 120.00
_symmetry_space_group_name_H-M 'R -3 m'
_symmetry_Int_Tables_number 166
_symmetry_space_group_name_Hall '-R 3 2"'
loop_
_atom_site_label
_atom_site_fract_x
_atom_site_fract_y
_atom_site_fract_z
Li1 0.0000 0.0000 0.1419
Ca1 0.0000 0.0000 0.0000
Hg1 0.0000 0.0000 0.4474
Bi1 0.0000 0.0000 0.2650
```



For CaHo3Bi4, a cell relaxed with GGA-PBE gives the theoretical powder diffraction line list in this record (copper Kα).

Peak list (8 most intense, 2θ from 10° to 90°, by angle)
index  2θ/deg  I/Imax
1 2 1  28.04  100
0 4 0  40.01  39
2 0 2  40.14  39
4 0 0  49.56  21
2 4 2  57.96  13
4 4 0  65.51  19
3 2 3  65.70  18
5 2 1  72.68  11

Cell and atoms:
```
data_CaHo3Bi4
_cell_length_a 7.808
_cell_length_b 9.013
_cell_length_c 7.771
_cell_angle_alpha 90.00
_cell_angle_beta 109.49
_cell_angle_gamma 90.00
_symmetry_space_group_name_H-M 'P 1 2/c 1'
_symmetry_Int_Tables_number 13
_symmetry_space_group_name_Hall '-P 2yc'
loop_
_atom_site_label
_atom_site_fract_x
_atom_site_fract_y
_atom_site_fract_z
Ca1 0.000 0.124 0.250
Ho1 0.000 0.374 0.750
Ho2 0.500 0.124 0.750
Ho3 0.500 0.374 0.250
Bi1 0.252 0.379 0.504
Bi2 0.257 0.129 0.999
```



For Ca5HoBi5, a cell relaxed with GGA-PBE gives the theoretical powder diffraction line list in this record (copper Kα).

Peak list (8 most intense, 2θ from 10° to 90°, by angle)
index  2θ/deg  I/Imax
1 1 0  15.19  58
3 1 0  23.24  59
1 1 -2  24.23  56
4 0 -2  27.12  100
2 0 2  27.37  99
0 2 0  27.94  94
4 2 -2  39.33  72
2 2 2  39.51  72

Cell and atoms:
```
data_Ca5HoBi5
_cell_length_a 15.069
_cell_length_b 6.386
_cell_length_c 8.984
_cell_angle_alpha 90.00
_cell_angle_beta 107.88
_cell_angle_gamma 90.00
_symmetry_space_group_name_H-M 'C 1 2/m 1'
_symmetry_Int_Tables_number 12
_symmetry_space_group_name_Hall '-C 2y'
loop_
_atom_site_label
_atom_site_fract_x
_atom_site_fract_y
_atom_site_fract_z
Ca1 0.000 0.000 0.000
Ca2 0.179 0.500 0.356
Ca3 0.184 0.500 0.823
Ho1 0.000 0.000 0.500
Bi1 0.000 0.500 0.500
Bi2 0.151 0.000 0.327
Bi3 0.161 0.000 0.830
```